PmSm3Tm2Bi6: theoretical XRD peak list (Cu Kα (weighted mean of Kα1 and Kα2)), based on a structure optimized by DFT (GGA-PBE).
Peak positions follow from Bragg's law for the DFT cell and can differ from measured ones.

Structure:
```
12
Lattice="9.849 -2.261 0.000 9.849 2.261 0.000 -2.064 0.000 8.801" Properties=species:S:1:pos:R:3 pbc="T T T"
Pm 0.000 0.000 0.000
Sm -1.032 0.000 4.400
Sm 6.245 0.000 1.476
Sm 11.389 0.000 7.324
Tm 5.179 0.000 5.867
Tm 12.455 0.000 2.934
Bi 3.117 0.000 0.788
Bi 2.127 0.000 5.086
Bi 8.253 0.000 6.579
Bi 9.381 0.000 2.221
Bi 15.507 0.000 3.714
Bi 14.517 0.000 8.013
```

Peak list (8 most intense, 2θ = 5–70°, in order of rising 2θ)
d (Å), 2θ/deg, I_rel
3.691, 24.1, 4
3.197, 27.9, 100
2.260, 39.9, 78
1.928, 47.1, 2
1.846, 49.4, 28
1.598, 57.7, 13
1.467, 63.4, 1
1.430, 65.3, 37